(1)
Computed PXRD pattern of Li5Fe5Si7O24 for a wavelength of 1.5418 Å, from a crystal structure in the Materials Project, relaxed with PBE+U.
Intensities are scaled so that the largest is 100.

Structural model:
```
Li5Fe5Si7O24
1.0
7.8530 0.0000 0.0000
-0.0743 7.9543 0.0000
-0.2491 -0.1878 9.7750
Li Fe Si O
5 5 7 24
Cartesian
0.0000 0.0000 0.0000
0.3161 4.0070 4.4688
2.2038 5.4484 2.3745
2.9122 1.2497 5.2220
4.4764 0.2002 2.7288
1.6032 6.3804 5.2759
3.0702 2.4869 2.1924
3.2077 -0.0265 9.4239
5.2650 2.7994 4.7114
7.2770 6.8232 2.6052
0.8443 0.8583 7.3620
1.2409 3.9846 7.7176
3.8395 4.8581 0.0202
4.8937 6.2001 4.8152
5.5464 0.4070 7.0333
7.0027 4.5278 0.1690
7.6844 2.2536 2.3853
-0.0800 4.2398 8.6563
0.6999 5.8773 3.6566
1.1698 4.9062 6.3607
1.1864 2.4468 7.1284
1.3291 2.6860 2.8722
1.4734 0.1627 6.0117
1.4351 0.2750 8.7620
2.6565 4.1644 8.5235
3.3364 4.1654 1.4237
3.3104 6.5441 4.5045
3.5165 6.4018 0.3619
3.6913 1.0593 1.2404
3.9178 1.9003 3.7708
4.6572 0.2536 8.3512
5.0173 1.6863 6.1877
5.1612 4.6233 5.0204
5.1768 4.3509 9.4726
5.4411 6.9816 6.1408
5.6261 6.8371 3.4730
6.8650 2.6527 3.7457
7.2270 3.1930 1.1067
7.1006 0.5848 7.5588
7.3959 5.9453 0.9181
7.5656 0.6730 1.9240
```

Top 8 peaks for 2θ from 10° to 90°, most intense first:
(2 0 1), 24.65 deg, intensity 100; (2 0 -1), 24.21 deg, intensity 96; (0 2 -1), 24.02 deg, intensity 79; (0 2 1), 24.33 deg, intensity 70; (1 1 -1), 18.14 deg, intensity 48; (0 1 -2), 21.16 deg, intensity 42; (1 0 2), 21.66 deg, intensity 24; (2 2 -2), 36.73 deg, intensity 18

(2)
Computed PXRD pattern of Li2Fe2Si4O11 for a wavelength of 1.5418 Å, from a crystal structure in the Materials Project, relaxed with PBE+U.
Intensities are scaled so that the largest is 100.

Structural model:
```
Li2Fe2Si4O11
1.0
7.0524 0.0000 0.0000
-1.9160 7.2928 0.0000
-1.6987 -1.9356 8.3812
Li Fe Si O
4 4 8 22
Cartesian
0.1987 1.4434 3.2708
-0.3898 0.8908 7.1700
3.8276 4.4664 1.2112
3.2390 3.9137 5.1104
2.2599 0.5785 0.9895
1.4336 -0.4749 5.2719
2.0042 5.8320 3.1093
1.1779 4.7787 7.3917
-1.9473 6.1441 1.9433
-0.7092 4.2784 4.3669
-1.4547 3.4894 8.0279
1.3191 3.4214 2.0110
2.1187 1.9358 6.3702
4.8925 1.8677 0.3533
4.1470 1.0788 4.0143
5.3851 -0.7869 6.4379
-1.8572 4.9048 3.1885
-1.2243 5.7347 0.1826
-1.4435 3.5966 5.9478
0.6781 -0.1523 2.7064
-0.1855 -0.9618 6.8466
0.0867 3.3035 3.3441
0.7122 4.0882 0.2098
1.7207 2.1629 1.5412
1.0453 1.2038 5.6703
0.2249 5.2106 4.8800
1.1385 6.2503 0.5144
2.2992 -0.8932 7.8668
3.2129 0.1466 3.5012
2.3925 4.1533 2.7109
1.7171 3.1943 6.8400
2.7256 1.2690 8.1714
3.3511 2.0537 5.0371
3.6232 6.3190 1.5346
2.7597 5.5094 5.6748
4.8813 1.7605 2.4334
4.6621 -0.3776 8.1986
5.2950 0.4523 5.1927
```

Top 8 peaks for 2θ from 10° to 90°, most intense first:
(1 -1 2), 26.72 deg, intensity 100; (2 0 -2), 30.02 deg, intensity 63; (0 1 0), 12.46 deg, intensity 52; (1 1 -4), 42.11 deg, intensity 46; (1 0 0), 13.40 deg, intensity 36; (2 -1 2), 36.33 deg, intensity 31; (2 1 0), 33.09 deg, intensity 26; (1 2 0), 31.93 deg, intensity 24

(3)
Computed PXRD pattern of LiFeSiO4 for a wavelength of 1.5418 Å, from a crystal structure in the Materials Project, relaxed with PBE+U.
Intensities are scaled so that the largest is 100.

Structural model:
```
LiFeSiO4
1.0
11.3020 0.0000 0.0000
0.0000 6.0764 0.0000
0.0000 0.0000 5.0194
Li Fe Si O
4 4 4 16
Cartesian
1.9511 0.0610 0.0000
3.6999 3.0991 2.5097
7.6021 2.9772 0.0000
9.3509 6.0154 2.5097
0.8812 1.5796 2.5176
4.7697 4.6178 0.0079
6.5322 1.4586 2.5176
10.4207 4.4968 0.0079
0.9415 4.6175 2.5377
4.7095 1.5793 0.0281
6.5925 4.4970 2.5377
10.3605 1.4589 0.0281
0.5877 1.4853 4.3991
0.8095 4.6798 4.1823
1.7041 5.9870 2.0065
1.7558 3.2418 2.1315
3.8952 0.2037 4.6412
3.9469 2.9488 4.5162
4.8415 1.6416 1.6726
5.0633 4.5235 1.8894
6.2387 1.5529 4.3991
6.4605 4.4348 4.1823
7.3551 3.1276 2.0065
7.4068 5.8727 2.1315
9.5462 2.8345 4.6412
9.5979 0.0894 4.5162
10.4925 1.3966 1.6726
10.7143 4.5911 1.8894
```

Top 8 peaks for 2θ from 10° to 90°, most intense first:
(2 0 1), 23.71 deg, intensity 100; (2 0 0), 15.68 deg, intensity 65; (2 2 0), 33.49 deg, intensity 40; (0 0 2), 35.78 deg, intensity 31; (0 2 0), 29.40 deg, intensity 28; (2 2 1), 38.11 deg, intensity 22; (4 2 1), 47.53 deg, intensity 22; (6 2 0), 57.57 deg, intensity 19